(1)
Nb3Os7: theoretical XRD peak list (Cu Kα X-rays), based on a structure optimized by DFT (GGA-PBE).
Neutral-atom scattering factors, no anomalous dispersion.

abc: 14.3500 3.9430 5.5692
angles: 90.00 101.68 90.00
Space group C2/m (No. 12)
One atom of each set of equivalent atoms:
Nb 0.0000 0.0000 0.0000 (multiplicity 2)
Nb 0.1909 0.0000 0.6004 (multiplicity 4)
Os 0.0000 0.0000 0.5000 (multiplicity 2)
Os 0.0965 0.5000 0.2965 (multiplicity 4)
Os 0.1026 0.5000 0.8032 (multiplicity 4)
Os 0.2023 0.0000 0.0969 (multiplicity 4)

Top 10 peaks for 2θ from 10° to 80°, in order of rising 2θ:
- 2θ = 22.57°, I 6, (2 0 1)
- 2θ = 31.98°, I 5, (3 1 -1)
- 2θ = 39.37°, I 100, (5 1 0)
- 2θ = 39.62°, I 100, (1 1 -2)
- 2θ = 45.67°, I 33, (6 0 -2)
- 2θ = 46.06°, I 65, (0 2 0)
- 2θ = 66.54°, I 10, (10 0 0)
- 2θ = 66.86°, I 21, (6 2 -2)
- 2θ = 67.18°, I 21, (4 2 2)
- 2θ = 67.25°, I 11, (2 0 -4)

---

(2)
Mg2SnP2: theoretical XRD peak list (Cu Kα X-rays), based on a structure optimized by DFT (GGA-PBE).
Neutral-atom scattering factors, no anomalous dispersion.

abc: 7.6323 7.6323 3.3628
angles: 90.00 90.00 90.00
Space group P4/mbm (No. 127)
One atom of each set of equivalent atoms:
Mg 0.1395 0.3605 0.0000 (multiplicity 4)
Sn 0.0000 0.0000 0.5000 (multiplicity 2)
P 0.1619 0.6619 0.5000 (multiplicity 4)

Top 10 peaks for 2θ from 10° to 80°, in order of rising 2θ:
- 2θ = 16.43°, I 72, (1 1 0)
- 2θ = 23.31°, I 34, (2 0 0)
- 2θ = 31.34°, I 75, (1 1 1)
- 2θ = 33.20°, I 38, (2 2 0)
- 2θ = 35.58°, I 37, (2 0 1)
- 2θ = 37.25°, I 100, (3 1 0)
- 2θ = 37.55°, I 42, (2 1 1)
- 2θ = 42.98°, I 35, (2 2 1)
- 2θ = 46.30°, I 51, (3 1 1)
- 2θ = 67.94°, I 35, (3 1 2)

---

(3)
Y4GaTe2As: theoretical XRD peak list (Cu Kα X-rays), based on a structure optimized by DFT (GGA-PBE).
Neutral-atom scattering factors, no anomalous dispersion.

abc: 7.4010 4.1741 7.5233
angles: 90.00 108.50 90.00
Space group P2/m (No. 10)
One atom of each set of equivalent atoms:
Y 0.2423 0.0000 0.2194 (multiplicity 2)
Y 0.2582 0.5000 0.7734 (multiplicity 2)
Ga 0.5000 0.0000 0.0000 (multiplicity 1)
Te 0.0000 0.0000 0.5000 (multiplicity 1)
Te 0.5000 0.5000 0.5000 (multiplicity 1)
As 0.0000 0.5000 0.0000 (multiplicity 1)

Top 10 peaks for 2θ from 10° to 80°, in order of rising 2θ:
- 2θ = 29.50°, I 50, (2 0 -2)
- 2θ = 29.63°, I 100, (1 1 1)
- 2θ = 41.43°, I 18, (2 0 2)
- 2θ = 42.04°, I 35, (1 1 -3)
- 2θ = 42.57°, I 37, (3 1 -1)
- 2θ = 43.35°, I 18, (0 2 0)
- 2θ = 51.22°, I 9, (0 0 4)
- 2θ = 52.13°, I 10, (4 0 0)
- 2θ = 53.31°, I 19, (2 2 -2)
- 2θ = 61.51°, I 11, (2 2 2)

---

(4)
LaTe3P: theoretical XRD peak list (Cu Kα X-rays), based on a structure optimized by DFT (GGA-PBE).
Neutral-atom scattering factors, no anomalous dispersion.

abc: 5.2987 5.2987 5.2987
angles: 90.00 90.00 90.00
Space group Pm-3m (No. 221)
One atom of each set of equivalent atoms:
La 0.0000 0.0000 0.0000 (multiplicity 1)
Te 0.0000 0.5000 0.5000 (multiplicity 3)
P 0.5000 0.5000 0.5000 (multiplicity 1)

Top 10 peaks for 2θ from 10° to 80°, in order of rising 2θ:
- 2θ = 16.73°, I 1, (1 0 0)
- 2θ = 23.75°, I 2, (1 1 0)
- 2θ = 29.19°, I 100, (1 1 1)
- 2θ = 33.83°, I 65, (2 0 0)
- 2θ = 41.76°, I 1, (2 1 1)
- 2θ = 48.60°, I 46, (2 2 0)
- 2θ = 57.70°, I 44, (3 1 1)
- 2θ = 60.53°, I 16, (2 2 2)
- 2θ = 71.18°, I 7, (4 0 0)
- 2θ = 78.72°, I 17, (3 3 1)

---

(5)
La2Dy3Tm9: theoretical XRD peak list (Cu Kα X-rays), based on a structure optimized by DFT (GGA-PBE).
Neutral-atom scattering factors, no anomalous dispersion.

abc: 6.1929 8.6991 8.7397
angles: 79.03 86.38 77.01
Space group P1 (No. 1)
One atom of each set of equivalent atoms:
La 0.0000 0.0000 0.0000 (multiplicity 1)
La 0.0877 0.5834 0.0581 (multiplicity 1)
Dy 0.2959 0.0285 0.6534 (multiplicity 1)
Dy 0.4772 0.2355 0.0113 (multiplicity 1)
Dy 0.8040 0.5753 0.4157 (multiplicity 1)
Tm 0.0198 0.2154 0.2836 (multiplicity 1)
Tm 0.0400 0.3889 0.7670 (multiplicity 1)
Tm 0.2030 0.8057 0.3711 (multiplicity 1)
Tm 0.3659 0.3987 0.4025 (multiplicity 1)
Tm 0.4586 0.5909 0.7207 (multiplicity 1)
Tm 0.5460 0.7975 0.0364 (multiplicity 1)
Tm 0.6362 0.9894 0.3481 (multiplicity 1)
Tm 0.7347 0.1960 0.6400 (multiplicity 1)
Tm 0.8850 0.7960 0.6963 (multiplicity 1)

Top 10 peaks for 2θ from 10° to 80°, in order of rising 2θ:
- 2θ = 31.18°, I 29, (0 1 3)
- 2θ = 31.28°, I 45, (0 0 3)
- 2θ = 31.66°, I 100, (1 -2 1)
- 2θ = 31.94°, I 41, (2 1 -1)
- 2θ = 32.10°, I 67, (1 3 1)
- 2θ = 33.29°, I 54, (-1 2 2)
- 2θ = 34.02°, I 28, (1 2 -2)
- 2θ = 34.50°, I 52, (2 1 2)
- 2θ = 48.57°, I 21, (1 3 4)
- 2θ = 52.91°, I 17, (2 0 -4)

---

(6)
CoNiSn3: theoretical XRD peak list (Cu Kα X-rays), based on a structure optimized by DFT (GGA-PBE).
Neutral-atom scattering factors, no anomalous dispersion.

abc: 3.2785 7.6126 8.7209
angles: 102.55 100.78 102.35
Space group P-1 (No. 2)
One atom of each set of equivalent atoms:
Co 0.1338 0.1296 0.1386 (multiplicity 2)
Ni 0.0368 0.7597 0.3125 (multiplicity 2)
Sn 0.2955 0.1526 0.4382 (multiplicity 2)
Sn 0.3638 0.4795 0.2446 (multiplicity 2)
Sn 0.4651 0.8379 0.0911 (multiplicity 2)

Top 10 peaks for 2θ from 10° to 80°, in order of rising 2θ:
- 2θ = 27.69°, I 61, (0 1 2)
- 2θ = 28.28°, I 49, (0 2 -2)
- 2θ = 33.25°, I 84, (-1 1 2)
- 2θ = 37.67°, I 71, (0 3 0)
- 2θ = 39.77°, I 100, (1 -2 2)
- 2θ = 41.08°, I 55, (1 -3 0)
- 2θ = 41.77°, I 43, (1 2 -2)
- 2θ = 42.19°, I 73, (0 1 -4)
- 2θ = 46.49°, I 39, (1 1 2)
- 2θ = 56.11°, I 33, (-2 1 1)